# CsBaB3
Computed powder XRD pattern, Cu Kα (λ = 1.5418 Å). Input: a PBE-relaxed structure.
Peak positions follow from Bragg's law for the DFT cell and can differ from measured ones.

Structural model:
a b c (Å): 5.4643 5.4643 5.4643
angles (deg): 90.00 90.00 90.00
Sites, in units of the cell vectors:
1 Cs 0.0000 0.0000 0.0000
2 Ba 0.5000 0.5000 0.5000
3 B 0.0000 0.5000 0.5000
4 B 0.5000 0.0000 0.5000
5 B 0.5000 0.5000 0.0000

Largest 8 diffraction maxima, most intense first, 2θ from 5° to 70°:
hkl 1 1 0, 23.0°, intensity 100.0
hkl 2 1 1, 40.4°, intensity 45.7
hkl 2 0 0, 32.8°, intensity 26.2
hkl 3 2 1, 63.7°, intensity 24.1
hkl 3 1 0, 53.0°, intensity 20.8
hkl 2 2 0, 47.0°, intensity 18.2
hkl 2 2 2, 58.5°, intensity 6.3
hkl 4 0 0, 68.7°, intensity 2.9

---

# BaGdCuBO5
Computed powder XRD pattern, Cu Kα (λ = 1.5418 Å). Input: a PBE-relaxed structure.
Peak positions follow from Bragg's law for the DFT cell and can differ from measured ones.

Structural model:
a b c (Å): 5.5055 5.5055 7.6082
angles (deg): 90.00 90.00 90.00
Sites, in units of the cell vectors:
1 Ba 0.0000 0.0000 0.0000
2 Ba 0.5000 0.5000 0.0000
3 Gd 0.0000 0.0000 0.5087
4 Gd 0.5000 0.5000 0.5087
5 Cu 0.0000 0.5000 0.7231
6 Cu 0.5000 0.0000 0.7231
7 B 0.0000 0.5000 0.2541
8 B 0.5000 0.0000 0.2541
9 O 0.0000 0.5000 0.0706
10 O 0.1568 0.3432 0.3421
11 O 0.2476 0.7476 0.7088
12 O 0.2524 0.2476 0.7088
13 O 0.3432 0.8432 0.3421
14 O 0.5000 0.0000 0.0706
15 O 0.6568 0.1568 0.3421
16 O 0.7476 0.7524 0.7088
17 O 0.7524 0.2524 0.7088
18 O 0.8432 0.6568 0.3421

Largest 10 diffraction maxima, most intense first, 2θ from 5° to 70°:
hkl 1 1 2, 32.9°, intensity 100.0
hkl 2 0 0, 32.5°, intensity 46.2
hkl 3 1 2, 58.3°, intensity 36.3
hkl 1 1 0, 22.8°, intensity 31.9
hkl 2 0 2, 40.4°, intensity 30.7
hkl 2 2 0, 46.7°, intensity 25.5
hkl 2 0 4, 59.0°, intensity 16.5
hkl 0 0 2, 23.4°, intensity 15.4
hkl 0 0 1, 11.6°, intensity 14.4
hkl 1 1 4, 53.6°, intensity 11.4